Starting from a cell relaxed with GGA+U, the powder X-ray diffraction pattern of Co2SO was simulated for Cu Kα X-rays.
Neutral-atom scattering factors, no anomalous dispersion.

Peak list (10 most intense, 2θ = 15–90°, by angle)
32.1 deg, rel. 1000, (0 0 2); 33.2 deg, rel. 486, (0 4 1); 34.6 deg, rel. 840, (1 3 0); 38.3 deg, rel. 226, (1 3 1); 42.9 deg, rel. 156, (1 1 2); 45.7 deg, rel. 264, (1 5 0); 47.9 deg, rel. 408, (1 3 2); 55.0 deg, rel. 214, (2 0 0); 57.2 deg, rel. 150, (1 1 3); 57.9 deg, rel. 167, (0 4 3)

Crystal structure
a = 3.339 Å, b = 12.346 Å, c = 5.578 Å
α = 90.00°, β = 90.00°, γ = 90.00°
Fractional coordinates of all 16 atoms:
Co1 0.000 0.065 0.000
Co2 0.000 0.330 0.921
Co3 0.000 0.670 0.421
Co4 0.000 0.935 0.500
Co5 0.500 0.170 0.421
Co6 0.500 0.435 0.500
Co7 0.500 0.565 0.000
Co8 0.500 0.830 0.921
S1 0.000 0.324 0.348
S2 0.000 0.676 0.848
S3 0.500 0.176 0.848
S4 0.500 0.824 0.348
O1 0.000 0.078 0.354
O2 0.000 0.922 0.854
O3 0.500 0.422 0.854
O4 0.500 0.578 0.354